# LiFeF3
Calculated XRD peak list, Cu Kα (λ = 1.5418 Å). Input: the GGA+U geometry in the Materials Project.

```
data_LiFeF3
_cell_length_a 5.272
_cell_length_b 5.368
_cell_length_c 10.055
_cell_angle_alpha 95.36
_cell_angle_beta 100.39
_cell_angle_gamma 118.91
_space_group_name_H-M_alt 'P 1'
_space_group_IT_number 1
loop_
_space_group_symop_operation_xyz
'x,y,z'
loop_
_atom_site_label
_atom_site_fract_x
_atom_site_fract_y
_atom_site_fract_z
Li1 0.000 0.000 0.000
Li2 0.070 0.433 0.876
Li3 0.234 0.207 0.363
Li4 0.809 0.206 0.500
Fe1 0.272 0.969 0.685
Fe2 0.458 0.779 0.185
Fe3 0.609 0.626 0.681
Fe4 0.781 0.448 0.181
F1 0.015 0.022 0.808
F2 0.051 0.696 0.054
F3 0.192 0.515 0.295
F4 0.206 0.238 0.552
F5 0.357 0.696 0.798
F6 0.368 0.386 0.063
F7 0.534 0.902 0.573
F8 0.554 0.172 0.314
F9 0.671 0.355 0.793
F10 0.707 0.060 0.073
F11 0.866 0.836 0.292
F12 0.881 0.582 0.570
```

Largest 10 diffraction maxima, by angle, 15 to 90 degrees two-theta:
2θ/deg, I (rel.), hkl
18.3, 100.0, 0 0 2
19.3, 13.8, 0 1 0
21.0, 13.2, -1 1 1
34.4, 15.2, 1 1 0
37.5, 12.7, 2 -1 1
38.1, 18.6, 1 1 1
43.7, 28.0, 1 1 2
46.0, 14.5, -1 2 3
58.7, 15.1, 1 1 -6
61.6, 13.5, 3 0 -3

# LiFeF3
Calculated XRD peak list, Cu Kα (λ = 1.5418 Å). Input: the GGA+U geometry in the Materials Project.

```
data_LiFeF3
_cell_length_a 5.166
_cell_length_b 8.724
_cell_length_c 4.832
_cell_angle_alpha 90.00
_cell_angle_beta 90.00
_cell_angle_gamma 90.00
_space_group_name_H-M_alt 'C 2 2 21'
_space_group_IT_number 20
loop_
_space_group_symop_operation_xyz
'x,y,z'
'-x,-y,z+1/2'
'x,-y,-z'
'-x,y,-z+1/2'
'x+1/2,y+1/2,z'
'-x+1/2,-y+1/2,z+1/2'
'x+1/2,-y+1/2,-z'
'-x+1/2,y+1/2,-z+1/2'
loop_
_atom_site_label
_atom_site_fract_x
_atom_site_fract_y
_atom_site_fract_z
Li1 0.000 0.001 0.250
Fe1 0.000 0.335 0.750
F1 0.153 0.161 0.999
F2 0.182 0.500 0.000
```

Largest 10 diffraction maxima, by angle, 15 to 90 degrees two-theta:
2θ/deg, I (rel.), hkl
20.0, 17.6, 1 1 0
27.3, 100.0, 1 1 1
27.5, 49.8, 0 2 1
39.6, 17.7, 2 0 1
40.2, 31.4, 1 3 1
44.9, 24.9, 2 2 1
45.6, 11.0, 0 4 1
51.8, 23.2, 2 0 2
52.3, 48.7, 1 3 2
62.7, 20.2, 3 3 0

# Li2FeF5
Calculated XRD peak list, Cu Kα (λ = 1.5418 Å). Input: the GGA+U geometry in the Materials Project.

```
data_Li2FeF5
_cell_length_a 7.424
_cell_length_b 5.465
_cell_length_c 9.598
_cell_angle_alpha 90.00
_cell_angle_beta 90.00
_cell_angle_gamma 90.00
_space_group_name_H-M_alt 'P n m a'
_space_group_IT_number 62
loop_
_space_group_symop_operation_xyz
'x,y,z'
'-x,-y,-z'
'-x+1/2,-y,z+1/2'
'x+1/2,y,-z+1/2'
'x+1/2,-y+1/2,-z+1/2'
'-x+1/2,y+1/2,z+1/2'
'-x,y+1/2,-z'
'x,-y+1/2,z'
loop_
_atom_site_label
_atom_site_fract_x
_atom_site_fract_y
_atom_site_fract_z
Li1 0.067 0.250 0.219
Li2 0.086 0.250 0.930
Fe1 0.183 0.250 0.549
F1 0.000 0.000 0.500
F2 0.111 0.250 0.738
F3 0.136 0.004 0.083
F4 0.237 0.750 0.852
```

Largest 10 diffraction maxima, by angle, 15 to 90 degrees two-theta:
2θ/deg, I (rel.), hkl
18.5, 40.3, 0 0 2
22.1, 20.4, 1 0 2
22.2, 100.0, 1 1 1
29.1, 32.9, 2 1 0
39.5, 17.5, 1 0 4
41.0, 11.7, 2 2 0
42.1, 12.4, 2 2 1
50.4, 22.4, 0 1 5
50.7, 25.1, 3 2 1
52.6, 8.8, 1 3 1

# LiFeF3
Calculated XRD peak list, Cu Kα (λ = 1.5418 Å). Input: the GGA+U geometry in the Materials Project.

```
data_LiFeF3
_cell_length_a 10.084
_cell_length_b 8.337
_cell_length_c 5.872
_cell_angle_alpha 90.00
_cell_angle_beta 93.32
_cell_angle_gamma 90.00
_space_group_name_H-M_alt 'C 1 2/m 1'
_space_group_IT_number 12
loop_
_space_group_symop_operation_xyz
'x,y,z'
'-x,-y,-z'
'-x,y,-z'
'x,-y,z'
'x+1/2,y+1/2,z'
'-x+1/2,-y+1/2,-z'
'-x+1/2,y+1/2,-z'
'x+1/2,-y+1/2,z'
loop_
_atom_site_label
_atom_site_fract_x
_atom_site_fract_y
_atom_site_fract_z
Li1 0.000 0.180 0.000
Li2 0.155 0.000 0.630
Fe1 0.000 0.343 0.500
Fe2 0.246 0.500 0.783
F1 0.101 0.329 0.817
F2 0.118 0.157 0.374
F3 0.124 0.000 0.935
F4 0.155 0.500 0.417
```

Largest 10 diffraction maxima, by angle, 15 to 90 degrees two-theta:
2θ/deg, I (rel.), hkl
15.1, 31.2, 0 0 1
20.1, 100.0, 1 1 -1
22.6, 16.9, 2 0 -1
27.8, 47.0, 2 2 0
36.4, 43.1, 2 0 2
44.5, 60.0, 3 3 -1
49.2, 16.2, 1 1 3
54.0, 19.8, 4 2 2
58.0, 21.7, 1 3 -3
59.6, 17.7, 5 3 1

# LiFeF3
Calculated XRD peak list, Cu Kα (λ = 1.5418 Å). Input: the GGA+U geometry in the Materials Project.

```
data_LiFeF3
_cell_length_a 3.205
_cell_length_b 7.408
_cell_length_c 4.945
_cell_angle_alpha 90.00
_cell_angle_beta 90.06
_cell_angle_gamma 90.00
_space_group_name_H-M_alt 'P 1 21/m 1'
_space_group_IT_number 11
loop_
_space_group_symop_operation_xyz
'x,y,z'
'-x,-y,-z'
'-x,y+1/2,-z'
'x,-y+1/2,z'
loop_
_atom_site_label
_atom_site_fract_x
_atom_site_fract_y
_atom_site_fract_z
Li1 0.004 0.250 0.468
Fe1 0.500 0.000 0.000
F1 0.016 0.067 0.756
F2 0.497 0.750 0.769
```

Largest 10 diffraction maxima, by angle, 15 to 90 degrees two-theta:
2θ/deg, I (rel.), hkl
17.9, 100.0, 0 0 1
24.0, 53.8, 0 2 0
30.1, 64.0, 0 2 1
33.3, 52.2, 1 0 -1
35.5, 24.9, 1 1 1
41.5, 33.7, 1 2 -1
46.4, 24.8, 1 0 -2
52.9, 43.1, 1 2 -2
52.9, 33.5, 1 2 2
57.5, 28.7, 2 0 0

# LiFeF3
Calculated XRD peak list, Cu Kα (λ = 1.5418 Å). Input: the GGA+U geometry in the Materials Project.

```
data_LiFeF3
_cell_length_a 10.063
_cell_length_b 9.248
_cell_length_c 5.742
_cell_angle_alpha 90.00
_cell_angle_beta 90.00
_cell_angle_gamma 90.00
_space_group_name_H-M_alt 'P b c n'
_space_group_IT_number 60
loop_
_space_group_symop_operation_xyz
'x,y,z'
'-x,-y,-z'
'-x+1/2,-y+1/2,z+1/2'
'x+1/2,y+1/2,-z+1/2'
'x+1/2,-y+1/2,-z'
'-x+1/2,y+1/2,z'
'-x,y,-z+1/2'
'x,-y,z+1/2'
loop_
_atom_site_label
_atom_site_fract_x
_atom_site_fract_y
_atom_site_fract_z
Li1 0.203 0.085 0.059
Fe1 0.000 0.216 0.750
Fe2 0.000 0.411 0.250
F1 0.100 0.258 0.068
F2 0.102 0.412 0.592
F3 0.147 0.066 0.744
```

Largest 10 diffraction maxima, by angle, 15 to 90 degrees two-theta:
2θ/deg, I (rel.), hkl
17.6, 100.0, 2 0 0
20.2, 19.3, 1 1 1
24.7, 43.7, 0 2 1
28.3, 18.2, 3 1 0
30.5, 30.3, 2 2 1
31.2, 18.8, 0 0 2
36.0, 21.9, 2 0 2
42.8, 56.5, 3 3 1
56.9, 22.0, 5 3 1
57.4, 18.9, 1 3 3

# LiFeF3
Calculated XRD peak list, Cu Kα (λ = 1.5418 Å). Input: the GGA+U geometry in the Materials Project.

```
data_LiFeF3
_cell_length_a 4.991
_cell_length_b 8.720
_cell_length_c 10.590
_cell_angle_alpha 90.00
_cell_angle_beta 90.00
_cell_angle_gamma 90.00
_space_group_name_H-M_alt 'P c c n'
_space_group_IT_number 56
loop_
_space_group_symop_operation_xyz
'x,y,z'
'-x,-y,-z'
'-x+1/2,-y+1/2,z'
'x+1/2,y+1/2,-z'
'x+1/2,-y,-z+1/2'
'-x+1/2,y,z+1/2'
'-x,y+1/2,-z+1/2'
'x,-y+1/2,z+1/2'
loop_
_atom_site_label
_atom_site_fract_x
_atom_site_fract_y
_atom_site_fract_z
Li1 0.004 0.215 0.100
Fe1 0.007 0.086 0.363
F1 0.196 0.095 0.544
F2 0.226 0.584 0.304
F3 0.250 0.250 0.276
F4 0.250 0.750 0.047
```

Largest 10 diffraction maxima, by angle, 15 to 90 degrees two-theta:
2θ/deg, I (rel.), hkl
19.6, 23.3, 0 1 2
22.2, 100.0, 1 1 1
28.5, 68.2, 1 2 1
32.7, 36.5, 1 1 3
38.5, 22.4, 1 0 4
39.7, 34.1, 1 3 2
50.2, 24.7, 2 0 4
51.3, 74.5, 2 3 2
61.5, 20.5, 0 3 6
64.1, 18.0, 0 6 0